K3Cd2Au2: computed powder XRD pattern (λ = 1.5418 Å (Cu Kα)), based on the GGA-PBE geometry in Alexandria.

Structural model:
```
data_K3Cd2Au2
_chemical_formula_sum 'K12 Cd8 Au8'
_symmetry_space_group_name_H-M 'P b c m'
_symmetry_Int_Tables_number 57
_cell_length_a 6.678
_cell_length_b 9.242
_cell_length_c 15.038
_cell_angle_alpha 90.00
_cell_angle_beta 90.00
_cell_angle_gamma 90.00
loop_
_symmetry_equiv_pos_as_xyz
'x,y,z'
'-x,-y,-z'
'-x,-y,z+1/2'
'x,y,-z+1/2'
'x,-y+1/2,-z'
'-x,y+1/2,z'
'-x,y+1/2,-z+1/2'
'x,-y+1/2,z+1/2'
loop_
_atom_site_label
_atom_site_fract_x
_atom_site_fract_y
_atom_site_fract_z
_atom_site_occupancy
K1 0.134 0.109 0.097 1
K2 0.356 0.736 0.750 1
Cd1 0.173 0.087 0.750 1
Cd2 0.388 0.750 0.000 1
Au1 0.382 0.024 0.590 1
```

The 10 most intense peaks (15° ≤ 2θ ≤ 90°), in order of rising 2θ:
d 5.093, I 67, hkl 1 1 1
d 4.993, I 40, hkl 1 0 2
d 4.621, I 28, hkl 0 2 0
d 2.916, I 28, hkl 0 2 4
d 2.797, I 29, hkl 1 3 0
d 2.673, I 33, hkl 1 2 4
d 2.661, I 100, hkl 2 1 3
d 2.443, I 19, hkl 1 3 3
d 2.203, I 27, hkl 0 2 6
d 2.183, I 18, hkl 1 4 0